1.
Diffraction record for NaCuS. The powder XRD pattern is simulated, not measured: it uses a cell relaxed with PBE and Cu Kα (λ = 1.5418 Å).
Intensities are scaled so that the largest is 100.

a b c (Å): 6.8984 5.0220 7.5750
angles (deg): 90.00 117.49 90.00
Atoms (fractional coordinates):
Na  0.1880  0.1263  0.4194
Na  0.1880  0.3737  0.9194
Na  0.8120  0.6263  0.0806
Na  0.8120  0.8737  0.5806
Cu  0.4431  0.6278  0.6602
Cu  0.4431  0.8722  0.1602
Cu  0.5569  0.1278  0.8398
Cu  0.5569  0.3722  0.3398
S  0.2678  0.6338  0.2890
S  0.2678  0.8662  0.7890
S  0.7322  0.1338  0.2110
S  0.7322  0.3662  0.7110

Main lines, sorted by position (2θ from 10° to 90°):
- 14.47°, rel. 100.0
- 22.88°, rel. 33.6
- 29.02°, rel. 16.2
- 32.05°, rel. 19.4
- 34.32°, rel. 17.6
- 38.73°, rel. 45.7
- 40.16°, rel. 28.2
- 40.32°, rel. 22.9
- 43.83°, rel. 16.8
- 44.64°, rel. 28.3



2.
Diffraction record for Li2MnBr4. The powder XRD pattern is simulated, not measured: it uses a cell relaxed with PBE and Cu Kα (λ = 1.5418 Å).
Intensities are scaled so that the largest is 100.

a b c (Å): 7.7219 7.7219 7.7219
angles (deg): 118.29 117.71 93.50
Atoms (fractional coordinates):
Li  0.0000  0.0000  0.0000
Li  0.5000  0.0000  0.0000
Li  0.5000  0.0000  0.5000
Li  0.5000  0.5000  0.5000
Mn  0.0000  0.5000  0.5000
Mn  0.5000  0.5000  0.0000
Br  0.2441  0.2503  0.5062
Br  0.2441  0.7379  0.9938
Br  0.2607  0.7451  0.5156
Br  0.2705  0.2549  0.0156
Br  0.7295  0.7451  0.9844
Br  0.7393  0.2549  0.4844
Br  0.7559  0.2621  0.0062
Br  0.7559  0.7497  0.4938

Main lines, sorted by position (2θ from 10° to 90°):
- 13.96°, rel. 20.6
- 27.99°, rel. 60.9
- 28.15°, rel. 61.3
- 31.82°, rel. 100.0
- 33.89°, rel. 42.2
- 45.42°, rel. 17.2
- 45.83°, rel. 17.7
- 47.17°, rel. 63.4
- 54.29°, rel. 17.6
- 54.56°, rel. 18.0



3.
Diffraction record for Dy2SiNi6B. The powder XRD pattern is simulated, not measured: it uses a cell relaxed with PBE and Cu Kα (λ = 1.5418 Å).
Intensities are scaled so that the largest is 100.

a b c (Å): 5.3663 5.3663 6.4436
angles (deg): 114.66 114.66 59.92
Atoms (fractional coordinates):
Dy  0.2202  0.2202  0.1612
Dy  0.7798  0.7798  0.8388
Si  0.5000  0.5000  0.0000
Ni  0.2372  0.2372  0.6759
Ni  0.2377  0.7018  0.6762
Ni  0.2982  0.7623  0.3238
Ni  0.7018  0.2377  0.6762
Ni  0.7623  0.2982  0.3238
Ni  0.7628  0.7628  0.3241
B  0.0000  0.0000  0.5000

Main lines, sorted by position (2θ from 10° to 90°):
- 21.82°, rel. 25.2
- 32.71°, rel. 57.0
- 33.41°, rel. 22.9
- 37.11°, rel. 38.6
- 40.26°, rel. 100.0
- 42.10°, rel. 41.0
- 44.48°, rel. 64.4
- 60.04°, rel. 27.1
- 65.70°, rel. 26.6
- 70.18°, rel. 24.1



4.
Diffraction record for BiTeO5. The powder XRD pattern is simulated, not measured: it uses a cell relaxed with PBE and Cu Kα (λ = 1.5418 Å).
Intensities are scaled so that the largest is 100.

a b c (Å): 6.5763 6.5763 6.5763
angles (deg): 118.74 116.18 94.47
Atoms (fractional coordinates):
Bi  0.3374  0.0874  0.2500
Bi  0.6626  0.9126  0.7500
Te  0.0000  0.5000  0.5000
Te  0.5000  0.5000  0.0000
O  0.0000  0.2008  0.2008
O  0.0000  0.7992  0.7992
O  0.0988  0.6980  0.4008
O  0.2028  0.3020  0.9008
O  0.3597  0.6097  0.7500
O  0.5000  0.2008  0.7008
O  0.5000  0.7992  0.2992
O  0.6403  0.3903  0.2500
O  0.7972  0.6980  0.0992
O  0.9012  0.3020  0.5992

Main lines, sorted by position (2θ from 10° to 90°):
- 16.16°, rel. 28.1
- 19.88°, rel. 48.8
- 26.61°, rel. 57.6
- 27.21°, rel. 54.9
- 30.65°, rel. 100.0
- 32.72°, rel. 30.5
- 42.66°, rel. 28.0
- 48.46°, rel. 15.3
- 49.57°, rel. 33.8
- 53.06°, rel. 14.3



Number 3 is which compound?
Dy2SiNi6B